[1]
Simulated X-ray diffraction stick pattern
Compound: Y5Ge5Pt2
Radiation: Cu Kα (λ = 1.5418 Å)
Structure: DFT lattice parameters and positions (PBE)
Neutral-atom scattering factors, no anomalous dispersion.

Top 8 peaks for 15 to 90 degrees two-theta, in order of rising 2θ:
two_theta  I_rel
21.51  35.8
32.40  99.3
34.02  37.6
34.57  54.1
35.09  45.7
37.03  35.6
39.29  100.0
42.33  54.6

Atomic structure:
Cell lengths 7.880, 7.880, 10.914 Å; angles 128.97, 128.97, 31.45 degrees
Atoms (fractional coordinates):
Y (0.000, 0.000, 0.000)
Y (0.113, 0.113, 0.420)
Y (0.197, 0.197, 0.824)
Y (0.803, 0.803, 0.176)
Y (0.887, 0.887, 0.580)
Ge (0.255, 0.255, 0.309)
Ge (0.437, 0.437, 0.164)
Ge (0.500, 0.500, 0.500)
Ge (0.563, 0.563, 0.836)
Ge (0.745, 0.745, 0.691)
Pt (0.360, 0.360, 0.747)
Pt (0.640, 0.640, 0.253)

---

[2]
Simulated X-ray diffraction stick pattern
Compound: Cd3Bi2Pb3
Radiation: Cu Kα (λ = 1.5418 Å)
Structure: DFT lattice parameters and positions (PBE)
Neutral-atom scattering factors, no anomalous dispersion.

Top 8 peaks for 15 to 90 degrees two-theta, in order of rising 2θ:
two_theta  I_rel
31.64  100.0
32.22  93.4
34.49  40.0
35.82  32.8
40.55  28.5
54.27  22.4
55.20  19.2
59.65  16.3

Atomic structure:
Cell lengths 20.579, 4.449, 5.203 Å; angles 90.00, 102.96, 90.00 degrees
Atoms (fractional coordinates):
Cd (0.000, 0.000, 0.000)
Cd (0.119, 0.000, 0.638)
Cd (0.381, 0.500, 0.362)
Cd (0.500, 0.500, 0.000)
Cd (0.619, 0.500, 0.638)
Cd (0.881, 0.000, 0.362)
Bi (0.239, 0.500, 0.741)
Bi (0.261, 0.000, 0.259)
Bi (0.739, 0.000, 0.741)
Bi (0.761, 0.500, 0.259)
Pb (0.000, 0.500, 0.500)
Pb (0.123, 0.500, 0.139)
Pb (0.377, 0.000, 0.861)
Pb (0.500, 0.000, 0.500)
Pb (0.623, 0.000, 0.139)
Pb (0.877, 0.500, 0.861)

---

[3]
Simulated X-ray diffraction stick pattern
Compound: TbThCd17
Radiation: Cu Kα (λ = 1.5418 Å)
Structure: DFT lattice parameters and positions (PBE)
Neutral-atom scattering factors, no anomalous dispersion.

Top 8 peaks for 15 to 90 degrees two-theta, in order of rising 2θ:
two_theta  I_rel
30.76  36.5
31.55  25.7
35.67  57.2
35.77  100.0
36.10  31.8
36.47  30.7
40.14  43.6
64.07  21.9

Atomic structure:
Cell lengths 7.652, 7.652, 7.652 Å; angles 82.28, 82.28, 82.28 degrees
Atoms (fractional coordinates):
Tb (0.000, 0.000, 0.000)
Th (0.337, 0.337, 0.337)
Cd (0.032, 0.032, 0.503)
Cd (0.032, 0.503, 0.032)
Cd (0.167, 0.669, 0.669)
Cd (0.309, 0.309, 0.827)
Cd (0.309, 0.827, 0.309)
Cd (0.367, 0.670, 0.969)
Cd (0.367, 0.969, 0.670)
Cd (0.503, 0.032, 0.032)
Cd (0.567, 0.567, 0.567)
Cd (0.669, 0.167, 0.669)
Cd (0.669, 0.669, 0.167)
Cd (0.670, 0.367, 0.969)
Cd (0.670, 0.969, 0.367)
Cd (0.771, 0.771, 0.771)
Cd (0.827, 0.309, 0.309)
Cd (0.969, 0.367, 0.670)
Cd (0.969, 0.670, 0.367)